Diffraction record for Lu2CoGe2. The XRD peak list is computed, not measured: it uses a DFT-relaxed cell (PBE, the Materials Project) and a wavelength of 1.5418 Å.

The 10 most intense peaks (2θ from 10° to 80°), low angle first:
| 2θ (°) | Rel. int. |
| --- | --- |
| 27.39 | 34 |
| 34.12 | 100 |
| 34.55 | 24 |
| 34.80 | 80 |
| 35.04 | 37 |
| 37.92 | 44 |
| 40.96 | 27 |
| 41.91 | 52 |
| 43.45 | 49 |
| 67.83 | 22 |

Structure:
a b c (Å): 5.5350 5.5350 9.9738
angles (deg): 115.69 115.69 44.21
Fractional positions:
Lu 0.0066 0.0066 0.3329
Lu 0.1861 0.1861 0.1108
Lu 0.8139 0.8139 0.8892
Lu 0.9934 0.9934 0.6671
Co 0.2748 0.2748 0.6431
Co 0.7252 0.7252 0.3569
Ge 0.3490 0.3490 0.4336
Ge 0.4855 0.4855 0.1251
Ge 0.5145 0.5145 0.8749
Ge 0.6510 0.6510 0.5664



Diffraction record for MnCoGe. The XRD peak list is computed, not measured: it uses a DFT-relaxed cell (PBE, the Materials Project) and a wavelength of 1.5418 Å.

The 10 most intense peaks (2θ from 10° to 80°), low angle first:
| 2θ (°) | Rel. int. |
| --- | --- |
| 38.10 | 40 |
| 39.02 | 23 |
| 40.20 | 20 |
| 41.15 | 100 |
| 45.35 | 67 |
| 47.89 | 49 |
| 48.11 | 29 |
| 48.74 | 16 |
| 54.00 | 18 |
| 75.02 | 17 |

Structure:
a b c (Å): 5.8118 3.7989 7.0570
angles (deg): 90.00 90.00 90.00
Fractional positions:
Mn 0.0285 0.2500 0.1951
Mn 0.4715 0.7500 0.6951
Mn 0.5285 0.2500 0.3049
Mn 0.9715 0.7500 0.8049
Co 0.1595 0.2500 0.5617
Co 0.3405 0.7500 0.0617
Co 0.6595 0.2500 0.9383
Co 0.8405 0.7500 0.4383
Ge 0.2420 0.7500 0.3831
Ge 0.2580 0.2500 0.8831
Ge 0.7420 0.7500 0.1169
Ge 0.7580 0.2500 0.6169



Diffraction record for Mn2Co3Ge. The XRD peak list is computed, not measured: it uses a DFT-relaxed cell (PBE, the Materials Project) and a wavelength of 1.5418 Å.

The 10 most intense peaks (2θ from 10° to 80°), low angle first:
| 2θ (°) | Rel. int. |
| --- | --- |
| 37.49 | 29 |
| 41.71 | 61 |
| 44.65 | 100 |
| 45.25 | 83 |
| 47.79 | 19 |
| 50.02 | 27 |
| 70.53 | 18 |
| 72.65 | 22 |
| 77.77 | 22 |
| 80.00 | 24 |

Structure:
a b c (Å): 4.7974 4.7974 7.6127
angles (deg): 90.00 90.00 120.00
Fractional positions:
Mn 0.3333 0.6667 0.0651
Mn 0.3333 0.6667 0.4349
Mn 0.6667 0.3333 0.5651
Mn 0.6667 0.3333 0.9349
Co 0.1735 0.3469 0.7500
Co 0.1735 0.8265 0.7500
Co 0.3469 0.1735 0.2500
Co 0.6531 0.8265 0.7500
Co 0.8265 0.1735 0.2500
Co 0.8265 0.6531 0.2500
Ge 0.0000 0.0000 0.0000
Ge 0.0000 0.0000 0.5000



Diffraction record for MnCoGe. The XRD peak list is computed, not measured: it uses a DFT-relaxed cell (PBE, the Materials Project) and a wavelength of 1.5418 Å.

The 9 most intense peaks (2θ from 10° to 80°), low angle first:
| 2θ (°) | Rel. int. |
| --- | --- |
| 25.13 | 2 |
| 30.64 | 2 |
| 34.88 | 12 |
| 43.48 | 88 |
| 44.28 | 100 |
| 57.57 | 16 |
| 63.80 | 26 |
| 73.01 | 1 |
| 73.67 | 7 |

Structure:
a b c (Å): 4.0911 4.0911 5.1439
angles (deg): 90.00 90.00 120.00
Fractional positions:
Mn 0.0000 0.0000 0.0000
Mn 0.0000 0.0000 0.5000
Co 0.3333 0.6667 0.2500
Co 0.6667 0.3333 0.7500
Ge 0.3333 0.6667 0.7500
Ge 0.6667 0.3333 0.2500



Diffraction record for Mn4Co11Ge5. The XRD peak list is computed, not measured: it uses a DFT-relaxed cell (PBE, the Materials Project) and a wavelength of 1.5418 Å.

The 4 most intense peaks (2θ from 10° to 80°), low angle first:
| 2θ (°) | Rel. int. |
| --- | --- |
| 26.96 | 1 |
| 44.75 | 100 |
| 53.02 | 1 |
| 65.14 | 15 |

Structure:
a b c (Å): 16.6750 16.6750 16.6750
angles (deg): 13.96 13.96 13.96
Fractional positions:
Mn 0.1001 0.1001 0.1001
Mn 0.3000 0.3000 0.3000
Mn 0.7000 0.7000 0.7000
Mn 0.8999 0.8999 0.8999
Co 0.0500 0.0500 0.0500
Co 0.1502 0.1502 0.1502
Co 0.2500 0.2500 0.2500
Co 0.3500 0.3500 0.3500
Co 0.4502 0.4502 0.4502
Co 0.5000 0.5000 0.5000
Co 0.5498 0.5498 0.5498
Co 0.6500 0.6500 0.6500
Co 0.7500 0.7500 0.7500
Co 0.8498 0.8498 0.8498
Co 0.9500 0.9500 0.9500
Ge 0.0000 0.0000 0.0000
Ge 0.1998 0.1998 0.1998
Ge 0.4000 0.4000 0.4000
Ge 0.6000 0.6000 0.6000
Ge 0.8002 0.8002 0.8002



Diffraction record for Mn4CoNi3Ge4. The XRD peak list is computed, not measured: it uses a DFT-relaxed cell (PBE, the Materials Project) and a wavelength of 1.5418 Å.

The 10 most intense peaks (2θ from 10° to 80°), low angle first:
| 2θ (°) | Rel. int. |
| --- | --- |
| 38.30 | 50 |
| 38.87 | 29 |
| 40.98 | 100 |
| 45.55 | 44 |
| 48.13 | 20 |
| 48.23 | 19 |
| 49.39 | 47 |
| 52.76 | 13 |
| 52.95 | 12 |
| 54.03 | 15 |

Structure:
a b c (Å): 5.9538 3.6902 7.0969
angles (deg): 90.00 90.22 90.00
Fractional positions:
Mn 0.0000 0.0000 0.0000
Mn 0.0641 0.5000 0.6398
Mn 0.4980 0.0000 0.1417
Mn 0.5642 0.5000 0.4979
Co 0.1789 0.5000 0.2627
Ni 0.3849 0.0000 0.7613
Ni 0.6764 0.5000 0.8783
Ni 0.8838 0.0000 0.3791
Ge 0.2760 0.0000 0.4439
Ge 0.2852 0.5000 0.9484
Ge 0.7772 0.0000 0.6942
Ge 0.7899 0.5000 0.1933



Diffraction record for PrMnCoGe2. The XRD peak list is computed, not measured: it uses a DFT-relaxed cell (PBE, the Materials Project) and a wavelength of 1.5418 Å.

The 10 most intense peaks (2θ from 10° to 80°), low angle first:
| 2θ (°) | Rel. int. |
| --- | --- |
| 31.01 | 30 |
| 33.61 | 100 |
| 35.46 | 94 |
| 44.43 | 62 |
| 48.49 | 35 |
| 56.84 | 44 |
| 61.68 | 18 |
| 64.64 | 19 |
| 67.86 | 25 |
| 75.95 | 19 |

Structure:
a b c (Å): 6.0224 6.0224 6.0224
angles (deg): 140.42 140.42 57.22
Fractional positions:
Pr 0.0000 0.0000 0.0000
Mn 0.2500 0.7500 0.5000
Co 0.7500 0.2500 0.5000
Ge 0.3747 0.3747 0.0000
Ge 0.6253 0.6253 0.0000



Diffraction record for Mn2Co2SiGe. The XRD peak list is computed, not measured: it uses a DFT-relaxed cell (PBE, the Materials Project) and a wavelength of 1.5418 Å.

The 10 most intense peaks (2θ from 10° to 80°), low angle first:
| 2θ (°) | Rel. int. |
| --- | --- |
| 38.75 | 77 |
| 39.55 | 35 |
| 40.62 | 21 |
| 41.71 | 100 |
| 41.97 | 24 |
| 46.14 | 57 |
| 48.91 | 30 |
| 49.09 | 76 |
| 54.51 | 15 |
| 78.47 | 18 |

Structure:
a b c (Å): 3.7134 6.9595 5.7709
angles (deg): 90.00 90.00 90.00
Fractional positions:
Mn 0.0000 0.0591 0.0000
Mn 0.0000 0.9409 0.5000
Mn 0.5000 0.4326 0.9448
Mn 0.5000 0.5674 0.4448
Co 0.0000 0.3026 0.6425
Co 0.0000 0.6974 0.1425
Co 0.5000 0.1822 0.3254
Co 0.5000 0.8178 0.8254
Si 0.5000 0.1264 0.7110
Si 0.5000 0.8736 0.2110
Ge 0.0000 0.3700 0.2397
Ge 0.0000 0.6300 0.7397



Diffraction record for Mn4Co4Si3Ge. The XRD peak list is computed, not measured: it uses a DFT-relaxed cell (PBE, the Materials Project) and a wavelength of 1.5418 Å.

The 10 most intense peaks (2θ from 10° to 80°), low angle first:
| 2θ (°) | Rel. int. |
| --- | --- |
| 38.92 | 72 |
| 39.04 | 71 |
| 39.71 | 67 |
| 41.83 | 87 |
| 41.94 | 93 |
| 42.28 | 30 |
| 46.45 | 100 |
| 49.14 | 47 |
| 49.29 | 56 |
| 49.49 | 91 |

Structure:
a b c (Å): 5.7651 3.6832 6.9204
angles (deg): 90.00 90.31 90.00
Fractional positions:
Mn 0.0000 0.0000 0.0000
Mn 0.0481 0.5000 0.3642
Mn 0.5045 0.0000 0.8746
Mn 0.5616 0.5000 0.4967
Co 0.1789 0.5000 0.7514
Co 0.3691 0.0000 0.2379
Co 0.6842 0.5000 0.1226
Co 0.8596 0.0000 0.6238
Si 0.2933 0.5000 0.0617
Si 0.7587 0.0000 0.3036
Si 0.7925 0.5000 0.8080
Ge 0.2628 0.0000 0.5617



Diffraction record for Co4GeN4. The XRD peak list is computed, not measured: it uses a DFT-relaxed cell (PBE, the Materials Project) and a wavelength of 1.5418 Å.

The 10 most intense peaks (2θ from 10° to 80°), low angle first:
| 2θ (°) | Rel. int. |
| --- | --- |
| 30.04 | 90 |
| 32.19 | 36 |
| 32.85 | 100 |
| 36.82 | 40 |
| 40.25 | 38 |
| 40.62 | 54 |
| 42.77 | 56 |
| 43.64 | 33 |
| 55.77 | 48 |
| 63.87 | 38 |

Structure:
a b c (Å): 5.3929 6.8116 10.7009
angles (deg): 90.00 90.00 90.00
Fractional positions:
Co 0.0392 0.2500 0.2500
Co 0.1052 0.6408 0.0536
Co 0.1052 0.8592 0.4464
Co 0.2500 0.0000 0.0463
Co 0.2500 0.5000 0.4537
Co 0.3948 0.1408 0.4464
Co 0.3948 0.3592 0.0536
Co 0.4608 0.7500 0.2500
Co 0.5392 0.2500 0.7500
Co 0.6052 0.6408 0.9464
Co 0.6052 0.8592 0.5536
Co 0.7500 0.0000 0.9537
Co 0.7500 0.5000 0.5463
Co 0.8948 0.1408 0.5536
Co 0.8948 0.3592 0.9464
Co 0.9608 0.7500 0.7500
Ge 0.2500 0.0000 0.7909
Ge 0.2500 0.5000 0.7091
Ge 0.7500 0.0000 0.2091
Ge 0.7500 0.5000 0.2909
N 0.0510 0.1244 0.9190
N 0.0510 0.3756 0.5810
N 0.0620 0.1177 0.3942
N 0.0620 0.3823 0.1058
N 0.4380 0.6177 0.1058
N 0.4380 0.8823 0.3942
N 0.4490 0.6244 0.5810
N 0.4490 0.8756 0.9190
N 0.5510 0.1244 0.0810
N 0.5510 0.3756 0.4190
N 0.5620 0.1177 0.6058
N 0.5620 0.3823 0.8942
N 0.9380 0.6177 0.8942
N 0.9380 0.8823 0.6058
N 0.9490 0.6244 0.4190
N 0.9490 0.8756 0.0810